# Re9Mo3Se16
Simulated X-ray powder pattern, copper Kα. Input: a structure optimized by DFT (GGA-PBE).
Peak positions follow from Bragg's law for the DFT cell and can differ from measured ones.

abc: 6.732 6.733 13.458
angles: 93.40 93.64 93.54
Space group P1 (No. 1)
Unique sites:
1 Re 0.000 0.000 0.000 x1
2 Re 0.000 0.001 0.499 x1
3 Re 0.650 0.781 0.481 x1
4 Re 0.689 0.131 0.090 x1
5 Re 0.689 0.131 0.590 x1
6 Re 0.780 0.960 0.825 x1
7 Re 0.782 0.961 0.325 x1
8 Re 0.820 0.311 0.934 x1
9 Re 0.821 0.312 0.433 x1
10 Mo 0.469 0.091 0.914 x1
11 Mo 0.470 0.092 0.414 x1
12 Mo 0.649 0.780 0.981 x1
13 Se 0.022 0.332 0.600 x1
14 Se 0.023 0.333 0.100 x1
15 Se 0.105 0.176 0.841 x1
16 Se 0.107 0.178 0.340 x1
17 Se 0.361 0.915 0.076 x1
18 Se 0.362 0.913 0.576 x1
19 Se 0.450 0.757 0.811 x1
20 Se 0.452 0.755 0.313 x1
21 Se 0.506 0.418 0.022 x1
22 Se 0.506 0.422 0.523 x1
23 Se 0.606 0.279 0.269 x1
24 Se 0.607 0.280 0.769 x1
25 Se 0.867 0.811 0.644 x1
26 Se 0.868 0.814 0.145 x1
27 Se 0.971 0.672 0.392 x1
28 Se 0.973 0.674 0.891 x1

Most intense lines, 2θ = 5–70°, sorted by position:
(hkl), d/Å, I (rel.)
1 0 0, 6.704, 100
-1 2 2, 2.769, 15
1 2 2, 2.599, 10
2 1 -4, 2.304, 19
1 -2 4, 2.299, 9
0 3 -2, 2.163, 12
2 1 4, 2.115, 14
-1 1 6, 2.034, 37
3 1 -4, 1.836, 14
4 -1 2, 1.586, 10